Entry 1:
For Cs2PtCl2F4, a structure optimized by DFT (PBE) gives the theoretical powder XRD pattern in this record (a wavelength of 1.5418 Å).
Neutral-atom scattering factors, no anomalous dispersion.

Principal peaks in the range 15 to 90 degrees two-theta, low angle first:
2θ/deg	d/Å	intensity	h k l
16.06	5.519	100	1 0 1
24.87	3.580	88	2 0 0
27.09	3.291	100	1 1 2
29.75	3.003	27	2 1 1
35.46	2.531	53	2 2 0
45.19	2.007	44	3 1 2

Cell and atoms:
```
data_Cs2PtCl2F4
_space_group_name_H-M_alt 'I 4/m m m'
_space_group_IT_number 139
_space_group_name_Hall '-I 4 2'
_cell_length_a 7.1597
_cell_length_b 7.1597
_cell_length_c 8.6638
_cell_angle_alpha 90.00
_cell_angle_beta 90.00
_cell_angle_gamma 90.00
loop_
_atom_site_label
_atom_site_fract_x
_atom_site_fract_y
_atom_site_fract_z
Cs1 0.0000 0.5000 0.2500
Pt1 0.0000 0.0000 0.0000
Cl1 0.0000 0.0000 0.2692
F1 0.1965 0.1965 0.0000
```

***

Entry 2:
For Cs2Pu3ClF12, a structure optimized by DFT (PBE) gives the theoretical powder XRD pattern in this record (a wavelength of 1.5418 Å).
Neutral-atom scattering factors, no anomalous dispersion.

Principal peaks in the range 15 to 90 degrees two-theta, low angle first:
2θ/deg	d/Å	intensity	h k l
22.67	3.923	23	1 0 4
24.35	3.656	100	0 2 1
25.25	3.528	39	1 1 3
25.77	3.458	60	2 0 2
26.96	3.307	20	0 1 5
41.96	2.153	50	2 2 0

Cell and atoms:
```
data_Cs2Pu3ClF12
_space_group_name_H-M_alt 'R -3 m'
_space_group_IT_number 166
_space_group_name_Hall '-R 3 2"'
_cell_length_a 8.6133
_cell_length_b 8.6133
_cell_length_c 18.4497
_cell_angle_alpha 90.00
_cell_angle_beta 90.00
_cell_angle_gamma 120.00
loop_
_atom_site_label
_atom_site_fract_x
_atom_site_fract_y
_atom_site_fract_z
Cs1 0.0000 0.0000 0.1072
Pu1 0.0000 0.5000 0.0000
Cl1 0.0000 0.0000 0.5000
F1 0.0608 0.5304 0.3199
F2 0.0938 0.5469 0.8937
```

***

Repeat the first record exactly.
For Cs2PtCl2F4, a structure optimized by DFT (PBE) gives the theoretical powder XRD pattern in this record (a wavelength of 1.5418 Å).
Neutral-atom scattering factors, no anomalous dispersion.

Principal peaks in the range 15 to 90 degrees two-theta, low angle first:
2θ/deg	d/Å	intensity	h k l
16.06	5.519	100	1 0 1
24.87	3.580	88	2 0 0
27.09	3.291	100	1 1 2
29.75	3.003	27	2 1 1
35.46	2.531	53	2 2 0
45.19	2.007	44	3 1 2

Cell and atoms:
```
data_Cs2PtCl2F4
_space_group_name_H-M_alt 'I 4/m m m'
_space_group_IT_number 139
_space_group_name_Hall '-I 4 2'
_cell_length_a 7.1597
_cell_length_b 7.1597
_cell_length_c 8.6638
_cell_angle_alpha 90.00
_cell_angle_beta 90.00
_cell_angle_gamma 90.00
loop_
_atom_site_label
_atom_site_fract_x
_atom_site_fract_y
_atom_site_fract_z
Cs1 0.0000 0.5000 0.2500
Pt1 0.0000 0.0000 0.0000
Cl1 0.0000 0.0000 0.2692
F1 0.1965 0.1965 0.0000
```